Simulated powder diffractogram
Compound: Ca2Nb2SnO8
Radiation: Cu Kα X-rays
Structure: DFT lattice parameters and positions (PBE)
Peak positions follow from Bragg's law for the DFT cell and can differ from measured ones.

Structural model:
a b c (Å): 20.2267 6.8839 5.5127
angles (deg): 90.00 92.02 90.00
Space group C2/c (No. 15)
One atom of each set of equivalent atoms:
Ca 0.2157 0.1496 0.2443 [8 per cell]
Nb 0.1237 0.3531 0.7506 [8 per cell]
Sn 0.0000 0.1989 0.2500 [4 per cell]
O 0.0707 0.1787 0.9013 [8 per cell]
O 0.0771 0.4019 0.4228 [8 per cell]
O 0.1893 0.1667 0.6394 [8 per cell]
O 0.1907 0.4218 0.0184 [8 per cell]

Top 12 peaks for 2θ = 5–70°, most intense first:
| 2θ (°) | I_rel | h k l |
| --- | --- | --- |
| 30.77 | 100 | 5 1 1 |
| 30.63 | 100 | 0 2 1 |
| 29.91 | 92 | 5 1 -1 |
| 24.86 | 87 | 3 1 1 |
| 24.24 | 81 | 3 1 -1 |
| 32.50 | 62 | 0 0 2 |
| 25.55 | 57 | 5 1 0 |
| 45.44 | 46 | 5 3 0 |
| 48.03 | 45 | 8 0 -2 |
| 18.43 | 44 | 3 1 0 |
| 57.46 | 40 | 5 1 3 |
| 47.13 | 37 | 8 2 -1 |